# 1
Computed powder diffractogram
Compound: Nd3Y4Ho8
Radiation: CuKα
Structure: DFT lattice parameters and positions (GGA-PBE)
No peak broadening, texture or thermal motion is included.

```
Nd3Y4Ho8
1.0
6.706 -6.405 0.000
6.706 6.405 0.000
-3.418 0.000 5.849
Nd Y Ho
3 4 8
direct
0.000 0.000 0.000
0.000 0.500 0.000
0.500 0.000 0.000
0.000 0.500 0.500
0.500 0.000 0.500
0.500 0.500 0.000
0.500 0.500 0.500
0.141 0.859 0.500
0.230 0.230 0.963
0.234 0.234 0.490
0.245 0.755 0.000
0.755 0.245 0.000
0.766 0.766 0.510
0.770 0.770 0.037
0.859 0.141 0.500
```

Most intense lines, 5 to 70 degrees two-theta, in order of rising 2θ:
- 2θ 27.9, I = 32.0
- 2θ 30.6, I = 100.0
- 2θ 30.9, I = 46.8
- 2θ 31.9, I = 36.6
- 2θ 41.8, I = 41.2
- 2θ 66.6, I = 19.3

=====

# 2
Computed powder diffractogram
Compound: AgHg2Pd2
Radiation: CuKα
Structure: DFT lattice parameters and positions (GGA-PBE)
No peak broadening, texture or thermal motion is included.

```
AgHg2Pd2
1.0
6.831 -2.294 0.000
6.831 2.294 0.000
-4.490 0.000 6.453
Ag Hg Pd
2 4 4
direct
0.249 0.751 0.750
0.751 0.249 0.250
0.075 0.577 0.908
0.423 0.925 0.592
0.577 0.075 0.408
0.925 0.423 0.092
0.175 0.673 0.341
0.327 0.825 0.159
0.673 0.175 0.841
0.825 0.327 0.659
```

Most intense lines, 5 to 70 degrees two-theta, in order of rising 2θ:
- 2θ 22.4, I = 20.4
- 2θ 27.5, I = 28.9
- 2θ 39.3, I = 45.8
- 2θ 39.4, I = 100.0
- 2θ 39.6, I = 73.0
- 2θ 56.8, I = 22.7

=====

# 3
Computed powder diffractogram
Compound: Ca3PCl3
Radiation: CuKα
Structure: DFT lattice parameters and positions (GGA-PBE)
No peak broadening, texture or thermal motion is included.

```
Ca3PCl3
1.0
5.714 0.000 0.000
0.000 5.714 0.000
0.000 0.000 5.714
Ca P Cl
3 1 3
direct
0.000 0.000 0.500
0.000 0.500 0.000
0.500 0.000 0.000
0.000 0.000 0.000
0.000 0.500 0.500
0.500 0.000 0.500
0.500 0.500 0.000
```

Most intense lines, 5 to 70 degrees two-theta, in order of rising 2θ:
- 2θ 15.5, I = 12.0
- 2θ 22.0, I = 16.4
- 2θ 31.3, I = 100.0
- 2θ 44.9, I = 65.8
- 2θ 55.7, I = 21.5
- 2θ 65.3, I = 9.6

=====

# 4
Computed powder diffractogram
Compound: Cu2SCl
Radiation: CuKα
Structure: DFT lattice parameters and positions (GGA-PBE)
No peak broadening, texture or thermal motion is included.

```
Cu2SCl
1.0
3.528 0.000 0.000
-0.179 6.256 0.000
-0.718 -0.962 6.666
Cu S Cl
4 2 2
direct
0.000 0.000 0.000
0.097 0.255 0.397
0.350 0.383 0.940
0.653 0.877 0.581
0.183 0.105 0.682
0.546 0.172 0.176
0.129 0.642 0.443
0.866 0.627 0.923
```

Most intense lines, 5 to 70 degrees two-theta, in order of rising 2θ:
- 2θ 14.3, I = 90.3
- 2θ 26.7, I = 98.3
- 2θ 28.5, I = 91.4
- 2θ 30.0, I = 71.6
- 2θ 31.4, I = 86.6
- 2θ 44.4, I = 100.0